No. 1
For KHI2F12, the GGA-PBE geometry in Alexandria gives the simulated PXRD pattern in this record (Cu Kα (λ = 1.5418 Å)).
Peak positions follow from Bragg's law for the DFT cell and can differ from measured ones.

Crystal structure
```
data_KHI2F12
_chemical_formula_sum 'K4 H4 I8 F48'
_cell_length_a 10.087
_cell_length_b 10.087
_cell_length_c 10.464
_cell_angle_alpha 90.00
_cell_angle_beta 90.00
_cell_angle_gamma 90.00
_symmetry_space_group_name_H-M 'I 4/m c m'
_symmetry_Int_Tables_number 140
_symmetry_space_group_name_Hall '-I 4 2c'
loop_
_atom_site_label
_atom_site_type_symbol
_atom_site_fract_x
_atom_site_fract_y
_atom_site_fract_z
_atom_site_occupancy
K1 K 0.000 0.000 0.250 1
H1 H 0.000 0.500 0.250 1
I1 I 0.156 0.344 0.000 1
F1 F 0.000 0.500 0.139 1
F2 F 0.081 0.226 0.128 1
F3 F 0.213 0.287 0.500 1
```

Largest 12 diffraction maxima, sorted by position, 2θ = 10–80°:
- 16.95°, I = 26, (0 0 2)
- 21.06°, I = 15, (1 1 2)
- 21.45°, I = 100, (2 1 1)
- 24.52°, I = 26, (2 0 2)
- 32.45°, I = 13, (2 1 3)
- 37.83°, I = 10, (3 3 0)
- 39.68°, I = 9, (4 0 2)
- 41.73°, I = 15, (3 3 2)
- 44.81°, I = 18, (3 1 4)
- 45.28°, I = 9, (4 1 3)
- 49.43°, I = 10, (5 2 1)
- 55.71°, I = 12, (5 2 3)

***

No. 2
For LiMg2Zn2Ge2, the GGA-PBE geometry in Alexandria gives the simulated PXRD pattern in this record (Cu Kα (λ = 1.5418 Å)).
Peak positions follow from Bragg's law for the DFT cell and can differ from measured ones.

Crystal structure
```
data_LiMg2Zn2Ge2
_chemical_formula_sum 'Li3 Mg6 Zn6 Ge6'
_cell_length_a 4.4439
_cell_length_b 4.4439
_cell_length_c 22.7035
_cell_angle_alpha 90.00
_cell_angle_beta 90.00
_cell_angle_gamma 120.00
_symmetry_space_group_name_H-M 'R -3 m'
_symmetry_Int_Tables_number 166
_symmetry_space_group_name_Hall '-R 3 2"'
loop_
_atom_site_label
_atom_site_type_symbol
_atom_site_fract_x
_atom_site_fract_y
_atom_site_fract_z
_atom_site_occupancy
Li1 Li 0.0000 0.0000 0.0000 1
Mg1 Mg 0.0000 0.0000 0.1296 1
Zn1 Zn 0.0000 0.0000 0.3863 1
Ge1 Ge 0.0000 0.0000 0.2562 1
```

Largest 12 diffraction maxima, sorted by position, 2θ = 10–80°:
- 11.69°, I = 20, (0 0 3)
- 23.49°, I = 61, (0 0 6)
- 24.42°, I = 52, (0 1 2)
- 35.59°, I = 10, (0 0 9)
- 39.45°, I = 90, (0 1 8)
- 40.60°, I = 100, (1 1 0)
- 47.45°, I = 41, (1 1 6)
- 55.08°, I = 17, (1 1 9)
- 57.90°, I = 29, (2 0 8)
- 62.11°, I = 11, (0 1 14)
- 73.10°, I = 28, (1 2 8)
- 73.88°, I = 16, (3 0 0)

***

No. 3
For Pm5Sb2S4, the GGA-PBE geometry in Alexandria gives the simulated PXRD pattern in this record (Cu Kα (λ = 1.5418 Å)).
Peak positions follow from Bragg's law for the DFT cell and can differ from measured ones.

Crystal structure
```
data_Pm5Sb2S4
_chemical_formula_sum 'Pm15 Sb6 S12'
_cell_length_a 4.5571
_cell_length_b 4.5571
_cell_length_c 56.2266
_cell_angle_alpha 90.00
_cell_angle_beta 90.00
_cell_angle_gamma 120.00
_symmetry_space_group_name_H-M 'R -3 m'
_symmetry_Int_Tables_number 166
_symmetry_space_group_name_Hall '-R 3 2"'
loop_
_atom_site_label
_atom_site_type_symbol
_atom_site_fract_x
_atom_site_fract_y
_atom_site_fract_z
_atom_site_occupancy
Pm1 Pm 0.0000 0.0000 0.0000 1
Pm2 Pm 0.0000 0.0000 0.1362 1
Pm3 Pm 0.0000 0.0000 0.2687 1
Sb1 Sb 0.0000 0.0000 0.3657 1
S1 S 0.0000 0.0000 0.0877 1
S2 S 0.0000 0.0000 0.1890 1
```

Largest 12 diffraction maxima, sorted by position, 2θ = 10–80°:
- 23.74°, I = 20, (0 0 15)
- 25.14°, I = 25, (1 0 7)
- 25.89°, I = 100, (0 1 8)
- 28.58°, I = 46, (0 1 11)
- 31.79°, I = 38, (0 1 14)
- 39.55°, I = 82, (1 1 0)
- 42.13°, I = 60, (1 0 22)
- 46.65°, I = 20, (1 1 15)
- 47.88°, I = 19, (2 0 8)
- 59.15°, I = 22, (0 2 22)
- 64.36°, I = 22, (1 1 30)
- 73.51°, I = 26, (2 1 22)

***

No. 4
For TmFe2Si2C, the GGA-PBE geometry in Alexandria gives the simulated PXRD pattern in this record (Cu Kα (λ = 1.5418 Å)).
Peak positions follow from Bragg's law for the DFT cell and can differ from measured ones.

Crystal structure
```
data_TmFe2Si2C
_chemical_formula_sum 'Tm1 Fe2 Si2 C1'
_cell_length_a 3.862
_cell_length_b 3.862
_cell_length_c 5.125
_cell_angle_alpha 90.00
_cell_angle_beta 90.00
_cell_angle_gamma 90.00
_symmetry_space_group_name_H-M 'P 4/m m m'
_symmetry_Int_Tables_number 123
_symmetry_space_group_name_Hall '-P 4 2'
loop_
_atom_site_label
_atom_site_type_symbol
_atom_site_fract_x
_atom_site_fract_y
_atom_site_fract_z
_atom_site_occupancy
Tm1 Tm 0.000 0.000 0.000 1
Fe1 Fe 0.000 0.500 0.500 1
Si1 Si 0.500 0.500 0.228 1
C1 C 0.000 0.000 0.500 1
```

Largest 12 diffraction maxima, sorted by position, 2θ = 10–80°:
- 23.03°, I = 31, (1 0 0)
- 28.95°, I = 53, (1 0 1)
- 32.79°, I = 12, (1 1 0)
- 35.02°, I = 22, (0 0 2)
- 37.31°, I = 100, (1 1 1)
- 42.33°, I = 47, (1 0 2)
- 47.06°, I = 39, (2 0 0)
- 56.20°, I = 18, (2 1 1)
- 59.98°, I = 17, (2 0 2)
- 64.32°, I = 16, (1 1 3)
- 65.13°, I = 26, (2 1 2)
- 68.74°, I = 12, (2 2 0)

***

No. 5
For Cs3VS4, the GGA-PBE geometry in Alexandria gives the simulated PXRD pattern in this record (Cu Kα (λ = 1.5418 Å)).
Peak positions follow from Bragg's law for the DFT cell and can differ from measured ones.

Crystal structure
```
data_Cs3VS4
_chemical_formula_sum 'Cs6 V2 S8'
_cell_length_a 7.266
_cell_length_b 10.405
_cell_length_c 7.943
_cell_angle_alpha 90.00
_cell_angle_beta 90.00
_cell_angle_gamma 90.00
_symmetry_space_group_name_H-M 'I m m 2'
_symmetry_Int_Tables_number 44
_symmetry_space_group_name_Hall 'I 2 -2'
loop_
_atom_site_label
_atom_site_type_symbol
_atom_site_fract_x
_atom_site_fract_y
_atom_site_fract_z
_atom_site_occupancy
Cs1 Cs 0.000 0.000 0.000 1
Cs2 Cs 0.000 0.239 0.433 1
V1 V 0.000 0.500 0.001 1
S1 S 0.000 0.327 0.848 1
S2 S 0.240 0.500 0.160 1
```

Largest 12 diffraction maxima, sorted by position, 2θ = 10–80°:
- 22.39°, I = 23, (0 0 2)
- 23.83°, I = 100, (1 2 1)
- 24.50°, I = 28, (2 0 0)
- 28.29°, I = 23, (0 2 2)
- 33.43°, I = 29, (2 0 2)
- 34.48°, I = 13, (0 4 0)
- 40.18°, I = 21, (1 2 3)
- 41.50°, I = 8, (0 4 2)
- 42.73°, I = 28, (3 2 1)
- 48.78°, I = 17, (2 4 2)
- 54.27°, I = 9, (3 2 3)
- 55.67°, I = 25, (1 6 1)

***

No. 6
For Te8Os, the GGA-PBE geometry in Alexandria gives the simulated PXRD pattern in this record (Cu Kα (λ = 1.5418 Å)).
Peak positions follow from Bragg's law for the DFT cell and can differ from measured ones.

Crystal structure
```
data_Te8Os
_chemical_formula_sum 'Te16 Os2'
_cell_length_a 10.617
_cell_length_b 10.617
_cell_length_c 5.051
_cell_angle_alpha 90.00
_cell_angle_beta 90.00
_cell_angle_gamma 90.00
_symmetry_space_group_name_H-M 'I 4/m m m'
_symmetry_Int_Tables_number 139
_symmetry_space_group_name_Hall '-I 4 2'
loop_
_atom_site_label
_atom_site_type_symbol
_atom_site_fract_x
_atom_site_fract_y
_atom_site_fract_z
_atom_site_occupancy
Te1 Te 0.000 0.257 0.000 1
Te2 Te 0.145 0.145 0.500 1
Os1 Os 0.000 0.000 0.000 1
```

Largest 12 diffraction maxima, sorted by position, 2θ = 10–80°:
- 11.79°, I = 70, (1 1 0)
- 23.70°, I = 9, (2 2 0)
- 30.85°, I = 100, (3 0 1)
- 35.55°, I = 28, (0 0 2)
- 35.89°, I = 17, (3 3 0)
- 39.27°, I = 58, (4 1 1)
- 48.50°, I = 19, (4 4 0)
- 51.40°, I = 12, (3 3 2)
- 60.94°, I = 14, (3 0 3)
- 61.56°, I = 18, (4 4 2)
- 66.33°, I = 12, (4 1 3)
- 74.45°, I = 17, (7 4 1)

***

No. 7
For H5PtI, the GGA-PBE geometry in Alexandria gives the simulated PXRD pattern in this record (Cu Kα (λ = 1.5418 Å)).
Peak positions follow from Bragg's law for the DFT cell and can differ from measured ones.

Crystal structure
```
data_H5PtI
_chemical_formula_sum 'H10 Pt2 I2'
_cell_length_a 2.846
_cell_length_b 9.128
_cell_length_c 9.259
_cell_angle_alpha 90.00
_cell_angle_beta 90.00
_cell_angle_gamma 90.00
_symmetry_space_group_name_H-M 'I m m 2'
_symmetry_Int_Tables_number 44
_symmetry_space_group_name_Hall 'I 2 -2'
loop_
_atom_site_label
_atom_site_type_symbol
_atom_site_fract_x
_atom_site_fract_y
_atom_site_fract_z
_atom_site_occupancy
H1 H 0.000 0.000 0.000 1
H2 H 0.000 0.379 0.345 1
H3 H 0.142 0.000 0.632 1
Pt1 Pt 0.000 0.000 0.832 1
I1 I 0.000 0.500 0.816 1
```

Largest 12 diffraction maxima, sorted by position, 2θ = 10–80°:
- 13.62°, I = 20, (0 1 1)
- 19.17°, I = 98, (0 0 2)
- 19.45°, I = 100, (0 2 0)
- 27.44°, I = 81, (0 2 2)
- 32.93°, I = 54, (1 0 1)
- 38.53°, I = 68, (1 2 1)
- 43.24°, I = 23, (1 0 3)
- 43.85°, I = 23, (0 2 4)
- 44.25°, I = 22, (0 4 2)
- 47.83°, I = 35, (1 2 3)
- 52.33°, I = 29, (1 4 1)
- 59.98°, I = 23, (1 4 3)

***

No. 8
For Ca3Cr2N6, the GGA-PBE geometry in Alexandria gives the simulated PXRD pattern in this record (Cu Kα (λ = 1.5418 Å)).
Peak positions follow from Bragg's law for the DFT cell and can differ from measured ones.

Crystal structure
```
data_Ca3Cr2N6
_chemical_formula_sum 'Ca3 Cr2 N6'
_cell_length_a 6.071
_cell_length_b 3.771
_cell_length_c 7.405
_cell_angle_alpha 90.00
_cell_angle_beta 106.75
_cell_angle_gamma 90.00
_symmetry_space_group_name_H-M 'P 1 m 1'
_symmetry_Int_Tables_number 6
_symmetry_space_group_name_Hall 'P -2y'
loop_
_atom_site_label
_atom_site_type_symbol
_atom_site_fract_x
_atom_site_fract_y
_atom_site_fract_z
_atom_site_occupancy
Ca1 Ca 0.000 0.000 0.000 1
Ca2 Ca 0.183 0.000 0.532 1
Ca3 Ca 0.510 0.500 0.055 1
Cr1 Cr 0.635 0.000 0.371 1
Cr2 Cr 0.859 0.500 0.687 1
N1 N 0.165 0.500 0.750 1
N2 N 0.354 0.000 0.227 1
N3 N 0.627 0.500 0.447 1
N4 N 0.775 0.500 0.884 1
N5 N 0.805 0.000 0.230 1
N6 N 0.833 0.000 0.630 1
```

Largest 12 diffraction maxima, sorted by position, 2θ = 10–80°:
- 15.24°, I = 61, (1 0 0)
- 16.70°, I = 100, (1 0 -1)
- 22.39°, I = 31, (1 0 1)
- 26.78°, I = 74, (0 1 1)
- 29.66°, I = 75, (2 0 -1)
- 32.76°, I = 66, (1 1 1)
- 34.92°, I = 90, (1 1 -2)
- 41.73°, I = 20, (2 0 -3)
- 44.04°, I = 27, (2 1 1)
- 45.71°, I = 22, (2 0 2)
- 48.27°, I = 43, (0 2 0)
- 57.54°, I = 21, (3 1 -3)

***

No. 9
For Y4ScRu, the GGA-PBE geometry in Alexandria gives the simulated PXRD pattern in this record (Cu Kα (λ = 1.5418 Å)).
Peak positions follow from Bragg's law for the DFT cell and can differ from measured ones.

Crystal structure
```
data_Y4ScRu
_chemical_formula_sum 'Y16 Sc4 Ru4'
_cell_length_a 8.690
_cell_length_b 8.690
_cell_length_c 8.690
_cell_angle_alpha 90.00
_cell_angle_beta 90.00
_cell_angle_gamma 90.00
_symmetry_space_group_name_H-M 'F -4 3 m'
_symmetry_Int_Tables_number 216
_symmetry_space_group_name_Hall 'F -4 2 3'
loop_
_atom_site_label
_atom_site_type_symbol
_atom_site_fract_x
_atom_site_fract_y
_atom_site_fract_z
_atom_site_occupancy
Y1 Y 0.124 0.124 0.124 1
Sc1 Sc 0.000 0.000 0.500 1
Ru1 Ru 0.250 0.250 0.750 1
```

Largest 12 diffraction maxima, sorted by position, 2θ = 10–80°:
- 17.68°, I = 16, (1 1 1)
- 20.44°, I = 3, (2 0 0)
- 29.06°, I = 21, (2 2 0)
- 34.22°, I = 100, (3 1 1)
- 35.80°, I = 47, (2 2 2)
- 41.57°, I = 8, (4 0 0)
- 45.50°, I = 4, (3 3 1)
- 51.52°, I = 8, (4 2 2)
- 54.90°, I = 33, (3 3 3)
- 60.25°, I = 29, (4 4 0)
- 71.15°, I = 11, (5 3 3)
- 72.10°, I = 17, (6 2 2)

***

No. 10
For Pm4Te2RhSe, the GGA-PBE geometry in Alexandria gives the simulated PXRD pattern in this record (Cu Kα (λ = 1.5418 Å)).
Peak positions follow from Bragg's law for the DFT cell and can differ from measured ones.

Crystal structure
```
data_Pm4Te2RhSe
_chemical_formula_sum 'Pm4 Te2 Rh1 Se1'
_cell_length_a 7.542
_cell_length_b 4.234
_cell_length_c 7.664
_cell_angle_alpha 90.00
_cell_angle_beta 108.53
_cell_angle_gamma 90.00
_symmetry_space_group_name_H-M 'P 1 2/m 1'
_symmetry_Int_Tables_number 10
_symmetry_space_group_name_Hall '-P 2y'
loop_
_atom_site_label
_atom_site_type_symbol
_atom_site_fract_x
_atom_site_fract_y
_atom_site_fract_z
_atom_site_occupancy
Pm1 Pm 0.223 0.000 0.211 1
Pm2 Pm 0.250 0.500 0.777 1
Te1 Te 0.000 0.000 0.500 1
Te2 Te 0.500 0.500 0.500 1
Rh1 Rh 0.000 0.500 0.000 1
Se1 Se 0.500 0.000 0.000 1
```

Largest 12 diffraction maxima, sorted by position, 2θ = 10–80°:
- 28.94°, I = 52, (2 0 -2)
- 29.14°, I = 100, (1 1 1)
- 40.64°, I = 17, (2 0 2)
- 41.28°, I = 35, (1 1 -3)
- 41.79°, I = 39, (3 1 -1)
- 42.71°, I = 19, (0 2 0)
- 51.09°, I = 10, (4 0 0)
- 52.42°, I = 20, (2 2 -2)
- 60.45°, I = 14, (2 2 2)
- 68.40°, I = 8, (5 1 -3)
- 68.72°, I = 8, (4 2 0)
- 69.94°, I = 8, (1 3 1)

***

No. 11
For Tb5S6, the GGA-PBE geometry in Alexandria gives the simulated PXRD pattern in this record (Cu Kα (λ = 1.5418 Å)).
Peak positions follow from Bragg's law for the DFT cell and can differ from measured ones.

Crystal structure
```
data_Tb5S6
_chemical_formula_sum 'Tb10 S12'
_cell_length_a 6.810
_cell_length_b 11.750
_cell_length_c 6.769
_cell_angle_alpha 90.00
_cell_angle_beta 109.51
_cell_angle_gamma 90.00
_symmetry_space_group_name_H-M 'C 1 2/m 1'
_symmetry_Int_Tables_number 12
_symmetry_space_group_name_Hall '-C 2y'
loop_
_atom_site_label
_atom_site_type_symbol
_atom_site_fract_x
_atom_site_fract_y
_atom_site_fract_z
_atom_site_occupancy
Tb1 Tb 0.000 0.000 0.000 1
Tb2 Tb 0.000 0.166 0.500 1
Tb3 Tb 0.000 0.337 0.000 1
S1 S 0.249 0.167 0.249 1
S2 S 0.250 0.000 0.746 1
```

Largest 12 diffraction maxima, sorted by position, 2θ = 10–80°:
- 15.73°, I = 9, (1 1 0)
- 27.86°, I = 53, (2 0 0)
- 27.97°, I = 17, (0 0 2)
- 32.31°, I = 100, (1 3 1)
- 46.23°, I = 24, (3 3 -1)
- 46.40°, I = 48, (2 0 2)
- 54.96°, I = 17, (3 3 -3)
- 55.06°, I = 9, (2 0 -4)
- 57.63°, I = 12, (2 6 -2)
- 67.62°, I = 11, (4 0 -4)
- 76.97°, I = 11, (3 3 3)
- 77.09°, I = 11, (3 3 -5)

***

No. 12
For Nd5MgBi4, the GGA-PBE geometry in Alexandria gives the simulated PXRD pattern in this record (Cu Kα (λ = 1.5418 Å)).
Peak positions follow from Bragg's law for the DFT cell and can differ from measured ones.

Crystal structure
```
data_Nd5MgBi4
_chemical_formula_sum 'Nd10 Mg2 Bi8'
_cell_length_a 9.526
_cell_length_b 10.112
_cell_length_c 7.805
_cell_angle_alpha 90.00
_cell_angle_beta 90.00
_cell_angle_gamma 90.00
_symmetry_space_group_name_H-M 'P m m n'
_symmetry_Int_Tables_number 59
loop_
_symmetry_equiv_pos_as_xyz
'x,y,z'
'-x,-y,-z'
'-x+1/2,-y+1/2,z'
'x+1/2,y+1/2,-z'
'x+1/2,-y,-z'
'-x+1/2,y,z'
'-x,y+1/2,-z'
'x,-y+1/2,z'
loop_
_atom_site_label
_atom_site_type_symbol
_atom_site_fract_x
_atom_site_fract_y
_atom_site_fract_z
_atom_site_occupancy
Nd1 Nd 0.041 0.046 0.248 1
Nd2 Nd 0.250 0.250 0.621 1
Mg1 Mg 0.250 0.750 0.242 1
Bi1 Bi 0.022 0.250 0.928 1
Bi2 Bi 0.250 0.563 0.546 1
```

Largest 12 diffraction maxima, sorted by position, 2θ = 10–80°:
- 20.94°, I = 43, (0 2 1)
- 21.86°, I = 100, (2 0 1)
- 28.86°, I = 66, (0 3 1)
- 29.59°, I = 22, (2 0 2)
- 30.38°, I = 39, (3 0 1)
- 34.61°, I = 74, (2 2 2)
- 36.47°, I = 28, (1 3 2)
- 37.77°, I = 26, (4 0 0)
- 40.10°, I = 28, (2 3 2)
- 40.72°, I = 22, (3 3 1)
- 59.37°, I = 20, (6 0 1)
- 61.22°, I = 22, (2 5 3)